This entry pairs a crystal structure of La2Ga12Ag with its calculated powder XRD pattern. Radiation: Cu Kα, 1.54184 Å. Structure: a structure optimized by DFT (PBE).
Neutral-atom scattering factors, no anomalous dispersion.

a b c (Å): 6.316 6.316 15.473
angles (deg): 90.00 90.00 90.00
Space group P4/nbm (No. 125, origin choice 2)
Symmetry-distinct sites (fractional):
1 La 0.250 0.750 0.246 [4 per cell]
2 Ga 0.000 0.000 0.091 [8 per cell]
3 Ga 0.077 0.577 0.430 [8 per cell]
4 Ga 0.250 0.250 0.183 [4 per cell]
5 Ga 0.250 0.250 0.345 [4 per cell]
6 Ag 0.250 0.750 0.000 [2 per cell]

Principal peaks in the range 2θ = 15–90°, by angle:
- 30.6°, I = 1000
- 36.7°, I = 264
- 40.4°, I = 682
- 40.8°, I = 214
- 45.4°, I = 166
- 45.8°, I = 133
- 51.5°, I = 326
- 58.4°, I = 157
- 67.4°, I = 281
- 87.3°, I = 150